For Rb6Co2O7, a GGA+U-relaxed structure gives the theoretical powder XRD pattern in this record (Cu Kα, 1.54184 Å).

Peak list (12 most intense, 2θ from 5° to 70°, in order of rising 2θ)
two_theta  I/Imax
10.59  607
25.59  1000
28.28  220
32.16  505
33.52  123
35.70  188
41.54  287
46.15  108
48.80  185
53.49  112
58.26  100
64.88  118

```
Rb6Co2O7
1.0
9.642 0.000 0.000
-4.821 8.350 0.000
0.000 0.000 10.060
Rb Co O
12 4 14
direct
0.032 0.367 0.376
0.039 0.388 0.873
0.336 0.968 0.376
0.349 0.961 0.873
0.367 0.336 0.624
0.388 0.349 0.127
0.612 0.651 0.873
0.633 0.664 0.376
0.651 0.039 0.127
0.664 0.032 0.624
0.961 0.612 0.127
0.968 0.633 0.624
0.333 0.667 0.185
0.333 0.667 0.565
0.667 0.333 0.435
0.667 0.333 0.815
0.169 0.480 0.621
0.173 0.476 0.129
0.303 0.827 0.129
0.311 0.831 0.621
0.333 0.667 0.374
0.476 0.303 0.871
0.480 0.311 0.379
0.520 0.689 0.621
0.524 0.697 0.129
0.667 0.333 0.626
0.689 0.169 0.379
0.697 0.173 0.871
0.827 0.524 0.871
0.831 0.520 0.379
```